# 1
This entry pairs a crystal structure of CaPmY2Se4 with its theoretical X-ray diffraction stick pattern. Radiation: λ = 1.5418 Å (Cu Kα). Structure: a structure optimized by DFT (GGA-PBE).

Peak list (12 most intense, 5 to 70 degrees two-theta, in order of rising 2θ)
two_theta  d (Å)  intensity
13.02  6.797  46
15.15  5.849  39
25.32  3.518  25
30.55  2.927  1000
43.46  2.082  123
43.69  2.072  244
43.81  2.066  242
44.00  2.058  120
53.96  1.699  64
54.16  1.693  63
54.52  1.683  125
63.58  1.463  117

Cell and atoms:
a b c (Å): 7.168 4.116 7.193
angles (deg): 90.00 109.09 90.00
Fractional positions:
Ca 0.000 0.000 0.000
Pm 0.000 0.500 0.500
Y 0.500 0.000 0.500
Y 0.500 0.500 0.000
Se 0.255 0.500 0.249
Se 0.257 0.000 0.756
Se 0.743 0.000 0.244
Se 0.745 0.500 0.751

***

# 2
This entry pairs a crystal structure of CaPm4Si4 with its theoretical X-ray diffraction stick pattern. Radiation: λ = 1.5418 Å (Cu Kα). Structure: a structure optimized by DFT (GGA-PBE).

Peak list (12 most intense, 5 to 70 degrees two-theta, in order of rising 2θ)
two_theta  d (Å)  intensity
13.76  6.436  493
20.23  4.390  252
24.55  3.627  256
26.45  3.369  833
31.07  2.878  1000
31.38  2.851  717
31.54  2.836  367
34.56  2.595  368
42.36  2.134  296
44.51  2.035  369
47.03  1.932  306
51.38  1.778  283

Cell and atoms:
a b c (Å): 9.102 9.102 6.003
angles (deg): 90.00 90.00 90.00
Fractional positions:
Ca 0.250 0.250 0.250
Ca 0.750 0.750 0.750
Pm 0.073 0.657 0.116
Pm 0.157 0.927 0.616
Pm 0.343 0.573 0.616
Pm 0.427 0.843 0.116
Pm 0.573 0.157 0.884
Pm 0.657 0.427 0.384
Pm 0.843 0.073 0.384
Pm 0.927 0.343 0.884
Si 0.019 0.612 0.607
Si 0.112 0.981 0.107
Si 0.388 0.519 0.107
Si 0.481 0.888 0.607
Si 0.519 0.112 0.393
Si 0.612 0.481 0.893
Si 0.888 0.019 0.893
Si 0.981 0.388 0.393

***

# 3
This entry pairs a crystal structure of CaPm6Si4 with its theoretical X-ray diffraction stick pattern. Radiation: λ = 1.5418 Å (Cu Kα). Structure: a structure optimized by DFT (GGA-PBE).

Peak list (12 most intense, 5 to 70 degrees two-theta, in order of rising 2θ)
two_theta  d (Å)  intensity
11.07  7.993  219
22.24  3.997  198
24.25  3.670  398
29.57  3.021  230
31.14  2.872  1000
33.64  2.664  472
36.86  2.439  495
39.04  2.307  228
54.77  1.676  296
56.36  1.632  217
60.13  1.539  177
62.28  1.491  180

Cell and atoms:
a b c (Å): 9.230 9.230 4.131
angles (deg): 90.00 90.00 120.00
Fractional positions:
Ca 0.000 0.000 0.000
Pm 0.195 0.390 0.500
Pm 0.195 0.805 0.500
Pm 0.541 0.081 0.000
Pm 0.541 0.459 0.000
Pm 0.610 0.805 0.500
Pm 0.919 0.459 0.000
Si 0.333 0.667 0.000
Si 0.340 0.170 0.500
Si 0.830 0.170 0.500
Si 0.830 0.660 0.500

***

# 4
This entry pairs a crystal structure of CaPm12Si7 with its theoretical X-ray diffraction stick pattern. Radiation: λ = 1.5418 Å (Cu Kα). Structure: a structure optimized by DFT (GGA-PBE).

Peak list (12 most intense, 5 to 70 degrees two-theta, in order of rising 2θ)
two_theta  d (Å)  intensity
26.61  3.350  1000
27.70  3.221  186
29.14  3.065  247
31.48  2.842  320
31.74  2.819  369
32.41  2.762  818
35.46  2.531  298
36.58  2.456  198
47.91  1.899  202
49.70  1.834  263
53.35  1.717  266
58.62  1.575  190

Cell and atoms:
a b c (Å): 9.211 9.211 9.211
angles (deg): 111.07 111.07 111.07
Fractional positions:
Ca 0.000 0.000 0.000
Pm 0.000 0.268 0.732
Pm 0.000 0.732 0.268
Pm 0.166 0.466 0.466
Pm 0.268 0.000 0.732
Pm 0.268 0.732 0.000
Pm 0.466 0.166 0.466
Pm 0.466 0.466 0.166
Pm 0.534 0.534 0.834
Pm 0.534 0.834 0.534
Pm 0.732 0.000 0.268
Pm 0.732 0.268 0.000
Pm 0.834 0.534 0.534
Si 0.136 0.136 0.481
Si 0.136 0.481 0.136
Si 0.481 0.136 0.136
Si 0.500 0.500 0.500
Si 0.519 0.864 0.864
Si 0.864 0.519 0.864
Si 0.864 0.864 0.519

***

# 5
This entry pairs a crystal structure of CaPm2Si with its theoretical X-ray diffraction stick pattern. Radiation: λ = 1.5418 Å (Cu Kα). Structure: a structure optimized by DFT (GGA-PBE).

Peak list (6 most intense, 5 to 70 degrees two-theta, in order of rising 2θ)
two_theta  d (Å)  intensity
23.60  3.770  449
33.61  2.666  1000
41.48  2.177  141
48.27  1.885  178
54.41  1.686  196
60.11  1.539  367

Cell and atoms:
a b c (Å): 7.541 7.541 7.541
angles (deg): 90.00 90.00 90.00
Fractional positions:
Ca 0.000 0.000 0.000
Ca 0.000 0.500 0.500
Ca 0.500 0.000 0.500
Ca 0.500 0.500 0.000
Pm 0.250 0.250 0.250
Pm 0.250 0.250 0.750
Pm 0.250 0.750 0.250
Pm 0.250 0.750 0.750
Pm 0.750 0.250 0.250
Pm 0.750 0.250 0.750
Pm 0.750 0.750 0.250
Pm 0.750 0.750 0.750
Si 0.000 0.000 0.500
Si 0.000 0.500 0.000
Si 0.500 0.000 0.000
Si 0.500 0.500 0.500

***

# 6
This entry pairs a crystal structure of CaPm4Sm3 with its theoretical X-ray diffraction stick pattern. Radiation: λ = 1.5418 Å (Cu Kα). Structure: a structure optimized by DFT (GGA-PBE).

Peak list (12 most intense, 5 to 70 degrees two-theta, in order of rising 2θ)
two_theta  d (Å)  intensity
8.57  10.315  59
17.13  5.175  25
19.16  4.632  28
29.90  2.988  1000
34.60  2.592  341
34.79  2.579  165
35.77  2.510  26
49.74  1.833  122
49.88  1.828  238
59.13  1.562  288
59.38  1.556  138
62.13  1.494  123

Cell and atoms:
a b c (Å): 7.332 10.315 7.331
angles (deg): 90.00 90.00 90.00
Fractional positions:
Ca 0.000 0.000 0.000
Ca 0.500 0.000 0.500
Pm 0.000 0.000 0.500
Pm 0.000 0.500 0.500
Pm 0.250 0.256 0.250
Pm 0.250 0.744 0.750
Pm 0.500 0.000 0.000
Pm 0.500 0.500 0.000
Pm 0.750 0.256 0.250
Pm 0.750 0.744 0.750
Sm 0.000 0.500 0.000
Sm 0.250 0.256 0.750
Sm 0.250 0.744 0.250
Sm 0.500 0.500 0.500
Sm 0.750 0.256 0.750
Sm 0.750 0.744 0.250

***

# 7
This entry pairs a crystal structure of CaPm5Sm3 with its theoretical X-ray diffraction stick pattern. Radiation: λ = 1.5418 Å (Cu Kα). Structure: a structure optimized by DFT (GGA-PBE).

Peak list (12 most intense, 5 to 70 degrees two-theta, in order of rising 2θ)
two_theta  d (Å)  intensity
27.88  3.200  114
29.72  3.006  299
30.29  2.950  1000
30.67  2.915  171
31.11  2.875  471
31.56  2.835  161
31.73  2.820  171
34.71  2.584  106
35.27  2.544  101
38.05  2.365  102
42.96  2.105  162
55.17  1.665  116

Cell and atoms:
a b c (Å): 8.863 8.863 11.831
angles (deg): 106.35 106.35 45.95
Fractional positions:
Ca 0.224 0.776 0.750
Ca 0.776 0.224 0.250
Pm 0.056 0.301 0.872
Pm 0.301 0.056 0.372
Pm 0.314 0.686 0.250
Pm 0.387 0.397 0.457
Pm 0.397 0.387 0.957
Pm 0.603 0.613 0.043
Pm 0.613 0.603 0.543
Pm 0.686 0.314 0.750
Pm 0.699 0.944 0.628
Pm 0.944 0.699 0.128
Sm 0.000 0.000 0.000
Sm 0.000 0.000 0.500
Sm 0.142 0.373 0.638
Sm 0.373 0.142 0.138
Sm 0.627 0.858 0.862
Sm 0.858 0.627 0.362

***

# 8
This entry pairs a crystal structure of CaPm2Sm3 with its theoretical X-ray diffraction stick pattern. Radiation: λ = 1.5418 Å (Cu Kα). Structure: a structure optimized by DFT (GGA-PBE).

Peak list (12 most intense, 5 to 70 degrees two-theta, in order of rising 2θ)
two_theta  d (Å)  intensity
14.30  6.193  33
27.75  3.215  236
30.38  2.942  253
31.72  2.821  1000
41.61  2.171  158
49.09  1.856  196
54.81  1.675  140
54.86  1.673  70
58.76  1.571  77
58.86  1.569  151
59.59  1.551  82
59.67  1.550  82

Cell and atoms:
a b c (Å): 6.955 6.958 9.830
angles (deg): 95.89 95.70 115.56
Fractional positions:
Ca 0.179 0.431 0.222
Ca 0.821 0.569 0.778
Pm 0.156 0.904 0.112
Pm 0.487 0.229 0.444
Pm 0.513 0.771 0.556
Pm 0.844 0.096 0.888
Sm 0.014 0.256 0.557
Sm 0.319 0.070 0.777
Sm 0.350 0.598 0.887
Sm 0.650 0.402 0.113
Sm 0.681 0.930 0.223
Sm 0.986 0.744 0.443

***

# 9
This entry pairs a crystal structure of Ca2Pm4Sm with its theoretical X-ray diffraction stick pattern. Radiation: λ = 1.5418 Å (Cu Kα). Structure: a structure optimized by DFT (GGA-PBE).

Peak list (12 most intense, 5 to 70 degrees two-theta, in order of rising 2θ)
two_theta  d (Å)  intensity
7.42  11.910  739
27.34  3.262  394
29.15  3.064  214
30.12  2.967  552
30.28  2.952  893
32.88  2.724  1000
37.06  2.425  214
41.13  2.195  262
49.18  1.852  204
55.26  1.662  225
58.76  1.571  238
60.52  1.530  245

Cell and atoms:
a b c (Å): 3.577 5.934 23.820
angles (deg): 90.00 90.00 90.00
Fractional positions:
Ca 0.000 0.000 0.221
Ca 0.000 0.000 0.779
Ca 0.500 0.500 0.279
Ca 0.500 0.500 0.721
Pm 0.000 0.500 0.130
Pm 0.000 0.500 0.420
Pm 0.000 0.500 0.580
Pm 0.000 0.500 0.870
Pm 0.500 0.000 0.080
Pm 0.500 0.000 0.370
Pm 0.500 0.000 0.630
Pm 0.500 0.000 0.920
Sm 0.000 0.000 0.500
Sm 0.500 0.500 0.000

***

# 10
This entry pairs a crystal structure of CaPm12Sm2 with its theoretical X-ray diffraction stick pattern. Radiation: λ = 1.5418 Å (Cu Kα). Structure: a structure optimized by DFT (GGA-PBE).

Peak list (12 most intense, 5 to 70 degrees two-theta, in order of rising 2θ)
two_theta  d (Å)  intensity
10.34  8.556  501
27.88  3.200  1000
28.28  3.155  334
28.97  3.082  502
30.43  2.937  888
31.01  2.884  590
31.36  2.852  569
32.04  2.793  295
36.61  2.455  509
38.53  2.336  693
50.50  1.807  328
54.43  1.686  291

Cell and atoms:
a b c (Å): 6.608 6.608 25.669
angles (deg): 90.00 90.00 90.00
Fractional positions:
Ca 0.250 0.750 0.000
Ca 0.750 0.250 0.000
Pm 0.004 0.504 0.119
Pm 0.004 0.996 0.881
Pm 0.083 0.583 0.439
Pm 0.083 0.917 0.561
Pm 0.250 0.250 0.217
Pm 0.250 0.250 0.337
Pm 0.250 0.250 0.663
Pm 0.250 0.250 0.783
Pm 0.417 0.583 0.561
Pm 0.417 0.917 0.439
Pm 0.496 0.504 0.881
Pm 0.496 0.996 0.119
Pm 0.504 0.004 0.881
Pm 0.504 0.496 0.119
Pm 0.583 0.083 0.561
Pm 0.583 0.417 0.439
Pm 0.750 0.750 0.217
Pm 0.750 0.750 0.337
Pm 0.750 0.750 0.663
Pm 0.750 0.750 0.783
Pm 0.917 0.083 0.439
Pm 0.917 0.417 0.561
Pm 0.996 0.004 0.119
Pm 0.996 0.496 0.881
Sm 0.250 0.750 0.255
Sm 0.250 0.750 0.745
Sm 0.750 0.250 0.255
Sm 0.750 0.250 0.745

***

# 11
This entry pairs a crystal structure of CaPm3Sm with its theoretical X-ray diffraction stick pattern. Radiation: λ = 1.5418 Å (Cu Kα). Structure: a structure optimized by DFT (GGA-PBE).

Peak list (12 most intense, 5 to 70 degrees two-theta, in order of rising 2θ)
two_theta  d (Å)  intensity
7.42  11.914  433
14.87  5.957  338
29.86  2.992  1000
30.00  2.978  439
32.63  2.744  882
36.84  2.440  610
48.22  1.887  229
51.18  1.785  289
54.96  1.671  206
60.45  1.532  468
62.03  1.496  137
62.27  1.491  130

Cell and atoms:
a b c (Å): 12.437 12.437 12.437
angles (deg): 28.78 28.78 28.78
Fractional positions:
Ca 0.166 0.166 0.166
Ca 0.834 0.834 0.834
Pm 0.083 0.747 0.410
Pm 0.253 0.590 0.917
Pm 0.410 0.083 0.747
Pm 0.590 0.917 0.253
Pm 0.747 0.410 0.083
Pm 0.917 0.253 0.590
Sm 0.334 0.334 0.334
Sm 0.666 0.666 0.666

***

# 12
This entry pairs a crystal structure of Ca2Pm4Sm5 with its theoretical X-ray diffraction stick pattern. Radiation: λ = 1.5418 Å (Cu Kα). Structure: a structure optimized by DFT (GGA-PBE).

Peak list (12 most intense, 5 to 70 degrees two-theta, in order of rising 2θ)
two_theta  d (Å)  intensity
7.59  11.642  244
10.46  8.458  504
28.41  3.141  276
28.55  3.127  311
29.19  3.060  360
29.99  2.980  317
30.25  2.954  1000
30.72  2.911  609
34.75  2.582  855
37.63  2.391  252
49.83  1.830  255
59.24  1.560  212

Cell and atoms:
a b c (Å): 9.573 9.573 12.235
angles (deg): 107.57 107.57 22.04
Fractional positions:
Ca 0.185 0.185 0.318
Ca 0.815 0.815 0.682
Pm 0.167 0.167 0.770
Pm 0.497 0.497 0.246
Pm 0.503 0.503 0.754
Pm 0.833 0.833 0.230
Sm 0.000 0.000 0.000
Sm 0.332 0.332 0.985
Sm 0.405 0.405 0.476
Sm 0.595 0.595 0.524
Sm 0.668 0.668 0.015